[1]
This entry pairs a crystal structure of Cs3Cu2BiBr9 with its computed powder XRD pattern. Radiation: Cu Kα. Structure: a cell relaxed with GGA-PBE.

Top 8 peaks for 10 to 90 degrees two-theta, sorted by position:
| hkl | Position (°2θ) | d/Å | Rel. int. |
| --- | --- | --- | --- |
| 0 1 2 | 22.86 | 3.890 | 28 |
| 1 1 0 | 22.98 | 3.871 | 27 |
| 0 2 1 | 28.21 | 3.163 | 45 |
| 2 0 2 | 32.64 | 2.744 | 100 |
| 3 0 0 | 40.31 | 2.237 | 18 |
| 0 2 4 | 46.70 | 1.945 | 34 |
| 2 2 0 | 46.95 | 1.935 | 35 |
| 0 4 2 | 58.35 | 1.581 | 18 |

Structural model:
a b c (Å): 7.741 7.741 9.554
angles (deg): 90.00 90.00 120.00
Atoms (fractional coordinates):
Cs1 0.000 0.000 0.000
Cs2 0.333 0.667 0.675
Cs3 0.667 0.333 0.325
Cu1 0.333 0.667 0.136
Cu2 0.667 0.333 0.864
Bi1 0.000 0.000 0.500
Br1 0.000 0.500 0.000
Br2 0.174 0.348 0.324
Br3 0.174 0.826 0.324
Br4 0.348 0.174 0.676
Br5 0.500 0.000 0.000
Br6 0.500 0.500 0.000
Br7 0.652 0.826 0.324
Br8 0.826 0.174 0.676
Br9 0.826 0.652 0.676


[2]
This entry pairs a crystal structure of SrAcIrO6 with its computed powder XRD pattern. Radiation: Cu Kα. Structure: a cell relaxed with GGA-PBE.

Top 8 peaks for 10 to 90 degrees two-theta, sorted by position:
| hkl | Position (°2θ) | d/Å | Rel. int. |
| --- | --- | --- | --- |
| 1 0 0 | 17.19 | 5.160 | 23 |
| 0 0 2 | 18.56 | 4.782 | 45 |
| 1 0 2 | 25.40 | 3.507 | 100 |
| 1 1 0 | 30.00 | 2.979 | 78 |
| 1 1 2 | 35.50 | 2.528 | 51 |
| 2 0 2 | 39.70 | 2.270 | 30 |
| 1 1 4 | 48.84 | 1.865 | 56 |
| 2 1 2 | 50.54 | 1.806 | 31 |

Structural model:
a b c (Å): 5.958 5.958 9.563
angles (deg): 90.00 90.00 120.00
Atoms (fractional coordinates):
Sr1 0.000 0.000 0.000
Sr2 0.000 0.000 0.500
Ac1 0.333 0.667 0.250
Ac2 0.667 0.333 0.750
Ir1 0.333 0.667 0.750
Ir2 0.667 0.333 0.250
O1 0.067 0.396 0.637
O2 0.067 0.671 0.863
O3 0.329 0.396 0.863
O4 0.329 0.933 0.637
O5 0.396 0.067 0.137
O6 0.396 0.329 0.363
O7 0.604 0.671 0.637
O8 0.604 0.933 0.863
O9 0.671 0.067 0.363
O10 0.671 0.604 0.137
O11 0.933 0.329 0.137
O12 0.933 0.604 0.363